No. 1
Starting from a PBE-relaxed structure, the X-ray powder pattern of Li2GeP2 was simulated for λ = 1.5418 Å (Cu Kα).

Atomic structure:
```
10
Lattice="7.5035 0.0000 0.0000 0.0000 7.5035 0.0000 0.0000 0.0000 2.6461" Properties=species:S:1:pos:R:3 pbc="T T T"
Li 0.8797 2.8721 0.0000
Li 2.8721 6.6238 0.0000
Li 4.6315 0.8797 0.0000
Li 6.6238 4.6315 0.0000
Ge 0.0000 0.0000 1.3230
Ge 3.7518 3.7518 1.3230
P 1.3599 5.1117 1.3230
P 2.3918 1.3599 1.3230
P 5.1117 6.1436 1.3230
P 6.1436 2.3918 1.3230
```

Principal peaks in the range 2θ from 15° to 90°, most intense first:
2theta  I_rel
37.94  100.0
16.71  81.9
33.83  79.3
51.75  45.8
48.59  35.7
26.56  22.4
43.55  21.3
83.54  20.6
65.92  16.4
73.62  16.1

***

No. 2
Starting from a PBE-relaxed structure, the X-ray powder pattern of NdHCl4 was simulated for λ = 1.5418 Å (Cu Kα).

Atomic structure:
```
12
Lattice="4.8461 -5.2746 0.0000 4.8461 5.2746 0.0000 -2.4661 0.0000 6.4177" Properties=species:S:1:pos:R:3 pbc="T T T"
Nd 3.6131 3.8925 3.2088
Nd 4.8461 -3.8925 0.0000
H 5.5825 1.2796 1.7404
H 4.3495 -1.2796 4.9492
Cl -0.2917 0.6260 4.9474
Cl 0.9413 -0.6260 1.7386
Cl 4.2593 1.3845 1.6566
Cl 4.9477 2.3107 5.0575
Cl 3.0263 -1.3845 4.8655
Cl 7.6179 0.9812 1.8890
Cl 6.1807 -2.3107 1.8486
Cl 6.3848 -0.9812 5.0978
```

Principal peaks in the range 2θ from 15° to 90°, most intense first:
2theta  I_rel
16.13  100.0
21.81  85.4
32.76  62.9
32.24  46.6
33.77  43.4
21.37  42.0
27.25  41.7
19.62  41.0
39.55  38.7
27.73  35.2

***

No. 3
Starting from a PBE-relaxed structure, the X-ray powder pattern of KZnIn was simulated for λ = 1.5418 Å (Cu Kα).

Atomic structure:
```
6
Lattice="4.5113 0.0000 0.0000 -2.2507 6.4505 0.0000 -2.2464 -1.1342 6.3875" Properties=species:S:1:pos:R:3 pbc="T T T"
K 0.0022 1.7808 0.8860
K 0.0119 3.5355 5.5015
Zn -2.2440 3.8912 2.8296
Zn 2.2581 1.4252 3.5579
In 0.0069 -0.0903 4.2959
In 0.0072 5.4066 2.0916
```

Principal peaks in the range 2θ from 15° to 90°, most intense first:
2theta  I_rel
28.79  100.0
33.57  71.6
42.50  33.9
30.62  32.8
30.67  32.7
39.97  31.7
40.28  29.9
17.89  28.9
53.14  25.8
42.98  20.9

***

No. 4
Starting from a PBE-relaxed structure, the X-ray powder pattern of Pm3SbS was simulated for λ = 1.5418 Å (Cu Kα).

Atomic structure:
```
20
Lattice="7.4342 -5.9320 0.0000 7.4342 5.9320 0.0000 -1.4427 0.0000 7.0411" Properties=species:S:1:pos:R:3 pbc="T T T"
Pm 0.8825 0.8211 3.0107
Pm 5.8806 3.0359 0.2630
Pm 0.1612 -0.8211 6.5312
Pm 5.0380 0.9524 3.7759
Pm 8.2664 3.0359 3.2576
Pm 5.7594 -0.9524 0.2553
Pm 7.6663 0.9524 6.7858
Pm 5.1592 -3.0359 3.7835
Pm 8.3877 -0.9524 3.2652
Pm 13.2645 0.8211 0.5098
Pm 7.5451 -3.0359 6.7781
Pm 12.5432 -0.8211 4.0304
Sb 2.5284 1.2369 5.6267
Sb 3.2497 -1.2369 2.1062
Sb 10.1760 1.2369 4.9349
Sb 10.8973 -1.2369 1.4144
S 6.3522 2.9238 5.2808
S 7.0735 0.9838 1.7603
S 6.3522 -0.9838 5.2808
S 7.0735 -2.9238 1.7603
```

Principal peaks in the range 2θ from 15° to 90°, most intense first:
2theta  I_rel
30.30  100.0
33.32  96.5
31.61  73.7
25.96  67.3
44.23  53.7
24.43  46.8
45.89  25.6
37.03  24.4
48.85  23.7
56.80  23.2

***

No. 5
Starting from a PBE-relaxed structure, the X-ray powder pattern of RbPa4Se8 was simulated for λ = 1.5418 Å (Cu Kα).

Atomic structure:
```
26
Lattice="7.8805 0.0000 0.0000 -3.9403 6.8247 0.0000 0.0000 0.0000 18.1663" Properties=species:S:1:pos:R:3 pbc="T T T"
Rb 0.0000 0.0000 0.0000
Rb 0.0000 0.0000 9.0832
Pa 0.0000 0.0000 4.5416
Pa 0.0000 0.0000 13.6247
Pa -1.9554 3.4209 4.5416
Pa 1.9554 3.4209 4.5416
Pa 0.0000 6.8077 4.5416
Pa 3.9403 0.0171 13.6247
Pa 1.9849 3.4038 13.6247
Pa 5.8956 3.4038 13.6247
Se 0.0000 2.2774 11.8644
Se 0.0000 2.2774 15.3851
Se -1.9680 5.6860 11.8644
Se -1.9680 5.6860 15.3851
Se 0.0000 4.5498 2.7730
Se 0.0000 4.5498 6.3101
Se 1.9723 1.1387 2.7812
Se 1.9723 1.1387 6.3020
Se 1.9680 5.6860 11.8644
Se 1.9680 5.6860 15.3851
Se 3.9403 2.2749 11.8562
Se 3.9403 2.2749 15.3933
Se 5.9082 1.1387 2.7812
Se 5.9082 1.1387 6.3020
Se 3.9403 4.5473 2.7812
Se 3.9403 4.5473 6.3020
```

Principal peaks in the range 2θ from 15° to 90°, most intense first:
2theta  I_rel
32.83  100.0
27.93  49.0
39.80  46.9
46.07  34.3
47.21  26.1
26.11  26.0
26.58  23.8
48.13  20.5
57.72  20.4
76.83  17.9

***

No. 6
Starting from a PBE-relaxed structure, the X-ray powder pattern of Rb4MgAg2 was simulated for λ = 1.5418 Å (Cu Kα).

Atomic structure:
```
7
Lattice="-3.5182 3.5182 8.7191 3.5182 -3.5182 8.7191 3.5182 3.5182 -8.7191" Properties=species:S:1:pos:R:3 pbc="T T T"
Rb 3.5182 0.0000 0.0000
Rb 0.0000 0.0000 3.8511
Rb 0.0000 3.5182 0.0000
Rb 0.0000 0.0000 13.5871
Mg 0.0000 0.0000 0.0000
Ag 0.0000 0.0000 7.3216
Ag 0.0000 0.0000 10.1165
```

Principal peaks in the range 2θ from 15° to 90°, most intense first:
2theta  I_rel
25.32  100.0
28.57  49.3
35.78  45.3
38.53  43.4
17.83  40.9
36.11  38.9
20.55  33.1
51.74  30.3
58.68  18.2
41.86  17.7

***

No. 7
Starting from a PBE-relaxed structure, the X-ray powder pattern of YMn2Si2Pt7 was simulated for λ = 1.5418 Å (Cu Kα).

Atomic structure:
```
12
Lattice="2.8794 -2.8419 0.0000 2.8794 2.8419 0.0000 -0.2525 0.0000 11.9758" Properties=species:S:1:pos:R:3 pbc="T T T"
Y 0.0000 0.0000 0.0000
Mn -0.0083 0.0000 4.0097
Mn 5.5146 0.0000 7.9661
Si 2.6481 0.0000 8.2744
Si 2.8582 0.0000 3.7014
Pt 1.4292 1.4222 2.2121
Pt 1.4326 0.0000 6.0857
Pt 4.0771 1.4222 9.7637
Pt 2.8794 0.0000 0.0000
Pt 1.4292 -1.4222 2.2121
Pt 4.0737 0.0000 5.8901
Pt 4.0771 -1.4222 9.7637
```

Principal peaks in the range 2θ from 15° to 90°, most intense first:
2theta  I_rel
38.94  100.0
34.94  98.1
38.16  74.1
45.40  70.7
22.27  49.8
44.81  27.3
60.33  24.8
59.37  24.4
31.07  24.3
78.59  23.9

***

No. 8
Starting from a PBE-relaxed structure, the X-ray powder pattern of Na5MgPb2 was simulated for λ = 1.5418 Å (Cu Kα).

Atomic structure:
```
16
Lattice="5.6077 0.0000 0.0000 -2.8038 4.8564 0.0000 0.0000 0.0000 19.6111" Properties=species:S:1:pos:R:3 pbc="T T T"
Na 0.0000 0.0000 2.8026
Na 0.0000 0.0000 7.0029
Na 0.0000 0.0000 12.6081
Na 0.0000 0.0000 16.8084
Na 0.0000 3.2376 1.0994
Na 0.0000 3.2376 4.9028
Na 0.0000 3.2376 8.7061
Na 2.8038 1.6188 10.9050
Na 2.8038 1.6188 14.7083
Na 2.8038 1.6188 18.5116
Mg 0.0000 3.2376 14.7083
Mg 2.8038 1.6188 4.9028
Pb 0.0000 3.2376 11.9351
Pb 0.0000 3.2376 17.4815
Pb 2.8038 1.6188 2.1295
Pb 2.8038 1.6188 7.6760
```

Principal peaks in the range 2θ from 15° to 90°, most intense first:
2theta  I_rel
22.81  100.0
31.92  90.4
18.82  90.3
36.94  59.8
37.05  57.0
18.09  48.4
18.27  46.4
60.26  41.1
49.68  32.3
39.59  25.2

***

No. 9
Starting from a PBE-relaxed structure, the X-ray powder pattern of Cs2LaPbO4 was simulated for λ = 1.5418 Å (Cu Kα).

Atomic structure:
```
8
Lattice="4.6734 -4.8188 0.0000 4.6734 4.8188 0.0000 -4.6712 0.0000 4.6877" Properties=species:S:1:pos:R:3 pbc="T T T"
Cs 0.0000 0.0000 0.0000
Cs 2.3378 -2.4100 2.3438
La 4.6734 -0.0057 0.0000
Pb 2.3378 2.4050 2.3438
O 0.4823 1.2006 2.8126
O -1.8659 -1.2216 4.2096
O 4.1934 1.2006 1.8751
O 6.5415 -1.2216 0.4781
```

Principal peaks in the range 2θ from 15° to 90°, most intense first:
2theta  I_rel
26.55  100.0
47.35  41.1
26.94  40.7
46.63  24.4
54.67  12.7
74.45  10.9
38.41  9.9
38.53  9.8
60.98  9.8
62.69  9.2

***

No. 10
Starting from a PBE-relaxed structure, the X-ray powder pattern of Y8CdS4 was simulated for λ = 1.5418 Å (Cu Kα).

Atomic structure:
```
13
Lattice="9.2753 -1.9308 0.0000 9.2753 1.9308 0.0000 -9.2721 0.0000 9.2781" Properties=species:S:1:pos:R:3 pbc="T T T"
Y -1.0539 0.0000 1.9045
Y 1.9370 0.0000 4.3054
Y -1.8877 0.0000 8.2313
Y 4.9635 0.0000 1.9335
Y 4.3151 0.0000 7.3446
Y 11.1663 0.0000 1.0468
Y 7.3416 0.0000 4.9727
Y 10.3325 0.0000 7.3736
Cd -4.6360 0.0000 4.6390
S -6.0412 0.0000 8.9676
S -0.3070 0.0000 6.0461
S 9.5856 0.0000 3.2320
S 15.3198 0.0000 0.3105
```

Principal peaks in the range 2θ from 15° to 90°, most intense first:
2theta  I_rel
30.89  100.0
28.87  28.5
36.59  25.9
30.47  24.2
50.42  22.2
47.06  13.4
41.29  13.4
52.45  11.4
33.85  9.9
56.34  9.8